Structure and theoretical PXRD pattern of Ca2GePd2 (a structure optimized by DFT (GGA-PBE); Cu Ka).
Peak positions follow from Bragg's law for the DFT cell and can differ from measured ones.

Structure:
a = 10.1178 Å, b = 15.4956 Å, c = 5.6118 Å
α = 90.00°, β = 90.00°, γ = 90.00°
Space group Fdd2 (No. 43)
One atom of each set of equivalent atoms:
Ca1 0.0843 0.2032 0.0000
Ge1 0.0000 0.0000 0.2567
Pd1 0.0890 0.1262 0.4998

Largest 10 diffraction maxima, low angle first, 2θ from 5° to 70°:
- 2θ = 18.97°, 4.678 Å, intensity 100
- 2θ = 33.98°, 2.638 Å, intensity 20
- 2θ = 34.22°, 2.620 Å, intensity 34
- 2θ = 35.59°, 2.523 Å, intensity 62
- 2θ = 37.40°, 2.405 Å, intensity 31
- 2θ = 38.48°, 2.339 Å, intensity 71
- 2θ = 42.74°, 2.115 Å, intensity 45
- 2θ = 43.67°, 2.073 Å, intensity 21
- 2θ = 44.92°, 2.018 Å, intensity 29
- 2θ = 64.45°, 1.446 Å, intensity 26

Structure and theoretical PXRD pattern of Y4MgPd (a structure optimized by DFT (GGA-PBE); Cu Ka).
Peak positions follow from Bragg's law for the DFT cell and can differ from measured ones.

Structure:
a = 13.8744 Å, b = 13.8744 Å, c = 13.8744 Å
α = 90.00°, β = 90.00°, γ = 90.00°
Space group F-43m (No. 216)
One atom of each set of equivalent atoms:
Y1 0.0000 0.0000 0.1829
Y2 0.0615 0.2500 0.7500
Y3 0.1008 0.1008 0.3992
Mg1 0.1697 0.1697 0.1697
Pd1 0.1066 0.1066 0.6066

Largest 10 diffraction maxima, low angle first, 2θ from 5° to 70°:
- 2θ = 11.05°, 8.010 Å, intensity 26
- 2θ = 28.03°, 3.183 Å, intensity 26
- 2θ = 31.59°, 2.832 Å, intensity 41
- 2θ = 33.56°, 2.670 Å, intensity 100
- 2θ = 36.64°, 2.453 Å, intensity 35
- 2θ = 46.76°, 1.943 Å, intensity 10
- 2θ = 50.53°, 1.806 Å, intensity 11
- 2θ = 56.26°, 1.635 Å, intensity 39
- 2θ = 57.53°, 1.602 Å, intensity 14
- 2θ = 67.13°, 1.394 Å, intensity 11

Structure and theoretical PXRD pattern of Ag2S (a structure optimized by DFT (GGA-PBE); Cu Ka).
Peak positions follow from Bragg's law for the DFT cell and can differ from measured ones.

Structure:
a = 4.5543 Å, b = 7.0211 Å, c = 9.3436 Å
α = 90.00°, β = 117.39°, γ = 90.00°
Space group P2_1/c (No. 14)
One atom of each set of equivalent atoms:
Ag1 0.0245 0.0397 0.2688
Ag2 0.3029 0.6763 0.5713
S1 0.2314 0.2159 0.6549

Largest 10 diffraction maxima, low angle first, 2θ from 5° to 70°:
- 2θ = 25.93°, 3.436 Å, intensity 65
- 2θ = 32.21°, 2.779 Å, intensity 100
- 2θ = 33.44°, 2.680 Å, intensity 55
- 2θ = 33.81°, 2.651 Å, intensity 45
- 2θ = 34.21°, 2.621 Å, intensity 83
- 2θ = 37.53°, 2.397 Å, intensity 72
- 2θ = 38.61°, 2.332 Å, intensity 44
- 2θ = 39.60°, 2.276 Å, intensity 44
- 2θ = 41.57°, 2.172 Å, intensity 37
- 2θ = 53.34°, 1.717 Å, intensity 32

Structure and theoretical PXRD pattern of NiC2S2N2 (a structure optimized by DFT (GGA-PBE); Cu Ka).
Peak positions follow from Bragg's law for the DFT cell and can differ from measured ones.

Structure:
a = 10.4213 Å, b = 3.6991 Å, c = 6.5075 Å
α = 90.00°, β = 105.06°, γ = 90.00°
Space group C2/m (No. 12)
One atom of each set of equivalent atoms:
Ni1 0.0000 0.0000 0.0000
C1 0.2372 0.0000 0.8021
S1 0.1153 0.5000 0.2444
N1 0.1338 0.0000 0.8439

Largest 10 diffraction maxima, low angle first, 2θ from 5° to 70°:
- 2θ = 14.09°, 6.284 Å, intensity 100
- 2θ = 17.63°, 5.032 Å, intensity 14
- 2θ = 19.53°, 4.546 Å, intensity 50
- 2θ = 30.51°, 2.930 Å, intensity 87
- 2θ = 36.15°, 2.485 Å, intensity 13
- 2θ = 39.65°, 2.273 Å, intensity 15
- 2θ = 40.41°, 2.232 Å, intensity 30
- 2θ = 41.57°, 2.172 Å, intensity 15
- 2θ = 49.27°, 1.850 Å, intensity 13
- 2θ = 51.38°, 1.778 Å, intensity 20

Structure and theoretical PXRD pattern of TaGaO4 (a structure optimized by DFT (GGA-PBE); Cu Ka).
Peak positions follow from Bragg's law for the DFT cell and can differ from measured ones.

Structure:
a = 5.6410 Å, b = 9.3757 Å, c = 5.0037 Å
α = 90.00°, β = 90.00°, γ = 90.00°
Space group Pna2_1 (No. 33)
One atom of each set of equivalent atoms:
Ta1 0.0804 0.1273 0.0000
Ga1 0.0651 0.6202 0.9826
O1 0.1238 0.7372 0.3130
O2 0.1375 0.0084 0.6606
O3 0.1415 0.5132 0.6549
O4 0.1452 0.2405 0.3127

Largest 10 diffraction maxima, low angle first, 2θ from 5° to 70°:
- 2θ = 20.12°, 4.414 Å, intensity 17
- 2θ = 24.69°, 3.605 Å, intensity 27
- 2θ = 30.56°, 2.925 Å, intensity 100
- 2θ = 35.89°, 2.502 Å, intensity 15
- 2θ = 36.57°, 2.457 Å, intensity 19
- 2θ = 52.43°, 1.745 Å, intensity 14
- 2θ = 53.58°, 1.711 Å, intensity 17
- 2θ = 54.07°, 1.696 Å, intensity 22
- 2θ = 61.23°, 1.514 Å, intensity 14
- 2θ = 65.18°, 1.431 Å, intensity 14

Structure and theoretical PXRD pattern of Nb3Co3C (a structure optimized by DFT (GGA-PBE); Cu Ka).
Peak positions follow from Bragg's law for the DFT cell and can differ from measured ones.

Structure:
a = 11.3563 Å, b = 11.3563 Å, c = 11.3563 Å
α = 90.00°, β = 90.00°, γ = 90.00°
Space group Fd-3m (No. 227, origin choice 2)
One atom of each set of equivalent atoms:
Nb1 0.0743 0.3750 0.3750
Co1 0.0000 0.0000 0.5000
Co2 0.0478 0.0478 0.7022
C1 0.0000 0.0000 0.0000

Largest 10 diffraction maxima, low angle first, 2θ from 5° to 70°:
- 2θ = 31.51°, 2.839 Å, intensity 10
- 2θ = 34.42°, 2.605 Å, intensity 17
- 2θ = 38.85°, 2.318 Å, intensity 41
- 2θ = 41.31°, 2.186 Å, intensity 100
- 2θ = 45.17°, 2.008 Å, intensity 38
- 2θ = 48.07°, 1.893 Å, intensity 9
- 2θ = 53.53°, 1.712 Å, intensity 6
- 2θ = 58.00°, 1.590 Å, intensity 8
- 2θ = 62.86°, 1.478 Å, intensity 6
- 2θ = 67.51°, 1.387 Å, intensity 11